No. 1
Structure and computed X-ray powder pattern of ZnH6S4O16 (a DFT-relaxed cell (GGA-PBE, OQMD); Cu Kα (weighted mean of Kα1 and Kα2)).

Largest 10 diffraction maxima, in order of falling intensity, 2θ from 10° to 90°:
two_theta, intensity, hkl
20.06, 100, 1 -1 1
38.03, 23, 0 2 5
11.86, 23, 0 0 2
35.13, 22, 1 -2 4
21.21, 21, 0 1 3
30.58, 20, 1 1 3
35.87, 12, 1 2 2
38.40, 12, 1 2 3
32.12, 9, 0 1 -5
22.59, 8, -1 1 2

Structure:
```
data_ZnH6S4O16
_chemical_formula_sum 'Zn2 H12 S8 O32'
_symmetry_space_group_name_H-M 'P 1'
_symmetry_Int_Tables_number 1
_cell_length_a 4.902
_cell_length_b 8.072
_cell_length_c 14.928
_cell_angle_alpha 90.01
_cell_angle_beta 90.02
_cell_angle_gamma 105.99
loop_
_symmetry_equiv_pos_as_xyz
'x,y,z'
loop_
_atom_site_label
_atom_site_type_symbol
_atom_site_fract_x
_atom_site_fract_y
_atom_site_fract_z
Zn1 Zn 0.000 0.000 0.000
Zn2 Zn 0.003 0.499 0.500
H1 H 0.121 0.493 0.687
H2 H 0.121 0.993 0.814
H3 H 0.358 0.293 0.479
H4 H 0.358 0.794 0.020
H5 H 0.443 0.924 0.102
H6 H 0.444 0.424 0.397
H7 H 0.560 0.076 0.896
H8 H 0.561 0.575 0.603
H9 H 0.646 0.206 0.978
H10 H 0.647 0.705 0.521
H11 H 0.884 0.005 0.187
H12 H 0.884 0.505 0.314
S1 S 0.168 0.337 0.865
S2 S 0.169 0.838 0.636
S3 S 0.376 0.387 0.092
S4 S 0.377 0.887 0.408
S5 S 0.628 0.112 0.592
S6 S 0.628 0.612 0.908
S7 S 0.836 0.161 0.365
S8 S 0.836 0.661 0.135
O1 O 0.005 0.122 0.118
O2 O 0.007 0.622 0.382
O3 O 0.082 0.720 0.724
O4 O 0.083 0.219 0.776
O5 O 0.237 0.591 0.732
O6 O 0.238 0.090 0.769
O7 O 0.250 0.228 0.933
O8 O 0.250 0.727 0.568
O9 O 0.296 0.205 0.151
O10 O 0.297 0.705 0.349
O11 O 0.302 0.383 0.444
O12 O 0.306 0.887 0.054
O13 O 0.355 0.615 0.951
O14 O 0.356 0.115 0.549
O15 O 0.491 0.045 0.334
O16 O 0.491 0.545 0.166
O17 O 0.514 0.454 0.834
O18 O 0.515 0.954 0.666
O19 O 0.649 0.384 0.049
O20 O 0.649 0.884 0.451
O21 O 0.700 0.613 0.555
O22 O 0.703 0.117 0.943
O23 O 0.707 0.793 0.849
O24 O 0.709 0.293 0.651
O25 O 0.754 0.271 0.433
O26 O 0.755 0.772 0.068
O27 O 0.768 0.408 0.268
O28 O 0.770 0.908 0.233
O29 O 0.923 0.279 0.277
O30 O 0.924 0.779 0.224
O31 O 0.997 0.877 0.882
O32 O 0.999 0.377 0.618
```



No. 2
Structure and computed X-ray powder pattern of SmH3Se3O12 (a DFT-relaxed cell (GGA-PBE, OQMD); Cu Kα (weighted mean of Kα1 and Kα2)).

Largest 10 diffraction maxima, in order of falling intensity, 2θ from 10° to 90°:
two_theta, intensity, hkl
24.56, 100, 1 -2 1
18.65, 89, 0 0 2
27.64, 67, 1 2 -1
23.06, 58, 1 1 1
23.37, 48, 1 0 -2
12.63, 44, 0 1 -1
26.19, 41, -1 2 1
32.19, 39, 1 1 -3
10.16, 38, 0 1 0
17.04, 28, 1 -1 0

Structure:
```
data_SmH3Se3O12
_chemical_formula_sum 'Sm2 H6 Se6 O24'
_symmetry_space_group_name_H-M 'P 1'
_symmetry_Int_Tables_number 1
_cell_length_a 5.847
_cell_length_b 8.920
_cell_length_c 9.644
_cell_angle_alpha 98.72
_cell_angle_beta 92.77
_cell_angle_gamma 98.60
loop_
_symmetry_equiv_pos_as_xyz
'x,y,z'
loop_
_atom_site_label
_atom_site_type_symbol
_atom_site_fract_x
_atom_site_fract_y
_atom_site_fract_z
Sm1 Sm 0.000 0.000 0.000
Sm2 Sm 0.289 0.425 0.516
H1 H 0.360 0.827 0.708
H2 H 0.536 0.045 0.113
H3 H 0.603 0.142 0.898
H4 H 0.683 0.272 0.606
H5 H 0.743 0.390 0.369
H6 H 0.931 0.598 0.798
Se1 Se 0.362 0.024 0.571
Se2 Se 0.428 0.696 0.016
Se3 Se 0.438 0.288 0.143
Se4 Se 0.822 0.139 0.360
Se5 Se 0.854 0.725 0.486
Se6 Se 0.913 0.402 0.936
O1 O 0.020 0.513 0.799
O2 O 0.041 0.199 0.490
O3 O 0.074 0.625 0.499
O4 O 0.206 0.793 0.000
O5 O 0.208 0.241 0.020
O6 O 0.261 0.907 0.705
O7 O 0.301 0.321 0.752
O8 O 0.312 0.360 0.287
O9 O 0.345 0.186 0.762
O10 O 0.421 0.084 0.175
O11 O 0.445 0.672 0.787
O12 O 0.554 0.256 0.533
O13 O 0.559 0.574 0.718
O14 O 0.600 0.947 0.538
O15 O 0.620 0.591 0.436
O16 O 0.663 0.827 0.066
O17 O 0.670 0.474 0.962
O18 O 0.721 0.161 0.977
O19 O 0.732 0.850 0.786
O20 O 0.831 0.330 0.302
O21 O 0.841 0.751 0.716
O22 O 0.936 0.235 0.749
O23 O 0.965 0.055 0.229
O24 O 0.982 0.101 0.759
```